Entry 1:
Diffraction record for Pm2CdSi. The powder diffraction line list is computed, not measured: it uses a crystal structure in the Materials Project, relaxed with GGA-PBE and copper Kα.

The 10 most intense peaks (2θ from 5° to 70°), by intensity:
Position (°2θ)  intensity  (hkl)
34.2  100  2 2 0
61.2  36  4 2 2
49.1  18  4 0 0
24.0  14  2 0 0
20.7  9  1 1 1
55.4  6  4 2 0
40.3  5  3 1 1
42.2  4  2 2 2
53.9  2  3 3 1
65.4  1  5 1 1

Structure:
```
data_Pm2CdSi
_cell_length_a 7.4182
_cell_length_b 7.4182
_cell_length_c 7.4182
_cell_angle_alpha 90.00
_cell_angle_beta 90.00
_cell_angle_gamma 90.00
_space_group_name_H-M_alt 'F m -3 m'
_space_group_IT_number 225
_space_group_name_Hall '-F 4 2 3'
loop_
_atom_site_label
_atom_site_fract_x
_atom_site_fract_y
_atom_site_fract_z
Pm1 0.2500 0.2500 0.2500
Cd1 0.0000 0.0000 0.0000
Si1 0.0000 0.0000 0.5000
```


Entry 2:
Diffraction record for PrCd2. The powder diffraction line list is computed, not measured: it uses a crystal structure in the Materials Project, relaxed with GGA-PBE and copper Kα.

The 10 most intense peaks (2θ from 5° to 70°), by intensity:
Position (°2θ)  intensity  (hkl)
32.6  100  1 0 1
35.1  86  1 1 0
48.6  32  2 0 1
61.3  31  2 1 1
64.5  28  1 1 2
62.9  15  3 0 0
52.2  9  0 0 2
43.8  5  1 1 1
25.4  4  0 0 1
20.0  2  1 0 0

Structure:
```
data_PrCd2
_cell_length_a 5.1203
_cell_length_b 5.1203
_cell_length_c 3.5033
_cell_angle_alpha 90.00
_cell_angle_beta 90.00
_cell_angle_gamma 120.00
_space_group_name_H-M_alt 'P 6/m m m'
_space_group_IT_number 191
_space_group_name_Hall '-P 6 2'
loop_
_atom_site_label
_atom_site_fract_x
_atom_site_fract_y
_atom_site_fract_z
Pr1 0.0000 0.0000 0.0000
Cd1 0.3333 0.6667 0.5000
```


Entry 3:
Diffraction record for PrCd11. The powder diffraction line list is computed, not measured: it uses a crystal structure in the Materials Project, relaxed with GGA-PBE and copper Kα.

The 10 most intense peaks (2θ from 5° to 70°), by intensity:
Position (°2θ)  intensity  (hkl)
39.2  100  4 1 0
31.3  92  3 1 1
32.8  81  2 2 2
40.4  69  3 3 0
43.8  52  4 2 1
34.1  47  3 2 0
29.8  37  3 1 0
62.8  32  5 4 0
54.9  23  4 4 0
65.4  20  6 2 2

Structure:
```
data_PrCd11
_cell_length_a 9.4681
_cell_length_b 9.4681
_cell_length_c 9.4681
_cell_angle_alpha 90.00
_cell_angle_beta 90.00
_cell_angle_gamma 90.00
_space_group_name_H-M_alt 'P m -3 m'
_space_group_IT_number 221
_space_group_name_Hall '-P 4 2 3'
loop_
_atom_site_label
_atom_site_fract_x
_atom_site_fract_y
_atom_site_fract_z
Pr1 0.0000 0.0000 0.5000
Cd1 0.0000 0.3455 0.3455
Cd2 0.1554 0.1554 0.1554
Cd3 0.2655 0.2655 0.5000
Cd4 0.5000 0.5000 0.5000
```